1.
For ScSi2F8, DFT lattice parameters and positions (GGA-PBE) gives the calculated powder diffraction line list in this record (Cu Kα (weighted mean of Kα1 and Kα2)).

Largest 8 diffraction maxima, low angle first, 2θ = 10–90°:
- 19.71°, I = 100
- 22.49°, I = 46
- 26.38°, I = 19
- 34.17°, I = 82
- 44.24°, I = 28
- 45.92°, I = 28
- 58.46°, I = 23
- 59.22°, I = 15

Crystal structure
Cell: 6.584 6.584 5.040 Å, 91.73 91.73 43.18°
Atoms (fractional coordinates):
Sc: 0.000 0.000 0.000
Si: 0.199 0.199 0.395
Si: 0.801 0.801 0.605
F: 0.103 0.103 0.695
F: 0.135 0.659 0.755
F: 0.279 0.279 0.140
F: 0.341 0.865 0.245
F: 0.659 0.135 0.755
F: 0.721 0.721 0.860
F: 0.865 0.341 0.245
F: 0.897 0.897 0.305



2.
For Pm6NdY2Er3, DFT lattice parameters and positions (GGA-PBE) gives the calculated powder diffraction line list in this record (Cu Kα (weighted mean of Kα1 and Kα2)).

Largest 8 diffraction maxima, low angle first, 2θ = 10–90°:
- 30.34°, I = 100
- 30.58°, I = 33
- 35.25°, I = 67
- 50.55°, I = 24
- 50.86°, I = 24
- 60.11°, I = 14
- 60.24°, I = 28
- 60.52°, I = 14

Crystal structure
Cell: 6.254 6.254 11.878 Å, 95.02 95.02 119.99°
Atoms (fractional coordinates):
Pm: 0.085 0.418 0.753
Pm: 0.249 0.249 0.247
Pm: 0.418 0.085 0.753
Pm: 0.582 0.915 0.247
Pm: 0.751 0.751 0.753
Pm: 0.915 0.582 0.247
Nd: 0.000 0.000 0.500
Y: 0.333 0.667 0.500
Y: 0.667 0.333 0.500
Er: 0.167 0.833 0.000
Er: 0.500 0.500 0.000
Er: 0.833 0.167 0.000



3.
For TbMgAl4, DFT lattice parameters and positions (GGA-PBE) gives the calculated powder diffraction line list in this record (Cu Kα (weighted mean of Kα1 and Kα2)).

Largest 8 diffraction maxima, low angle first, 2θ = 10–90°:
- 10.03°, I = 100
- 21.07°, I = 45
- 27.47°, I = 47
- 32.29°, I = 51
- 33.89°, I = 37
- 35.83°, I = 72
- 38.35°, I = 57
- 38.87°, I = 40

Crystal structure
Cell: 5.545 5.545 8.815 Å, 90.00 90.00 120.00°
Atoms (fractional coordinates):
Tb: 0.333 0.667 0.430
Tb: 0.667 0.333 0.570
Mg: 0.333 0.667 0.056
Mg: 0.667 0.333 0.944
Al: 0.000 0.000 0.000
Al: 0.000 0.000 0.500
Al: 0.171 0.342 0.752
Al: 0.171 0.829 0.752
Al: 0.342 0.171 0.248
Al: 0.658 0.829 0.752
Al: 0.829 0.171 0.248
Al: 0.829 0.658 0.248



4.
For Na2BeH4, DFT lattice parameters and positions (GGA-PBE) gives the calculated powder diffraction line list in this record (Cu Kα (weighted mean of Kα1 and Kα2)).

Largest 8 diffraction maxima, low angle first, 2θ = 10–90°:
- 24.62°, I = 71
- 35.10°, I = 100
- 43.34°, I = 23
- 50.47°, I = 16
- 56.94°, I = 28
- 62.96°, I = 32
- 74.17°, I = 9
- 79.51°, I = 9

Crystal structure
Cell: 5.112 5.112 5.112 Å, 119.94 119.94 90.10°
Atoms (fractional coordinates):
Na: 0.250 0.750 0.500
Na: 0.750 0.250 0.500
Be: 0.000 0.000 0.000
H: 0.058 0.058 0.333
H: 0.275 0.942 0.000
H: 0.725 0.725 0.667
H: 0.942 0.275 0.000



5.
For MnSiH2, DFT lattice parameters and positions (GGA-PBE) gives the calculated powder diffraction line list in this record (Cu Kα (weighted mean of Kα1 and Kα2)).

Largest 8 diffraction maxima, low angle first, 2θ = 10–90°:
- 26.81°, I = 17
- 31.50°, I = 46
- 39.95°, I = 100
- 52.64°, I = 20
- 61.85°, I = 25
- 62.65°, I = 25
- 86.20°, I = 9
- 89.01°, I = 9

Crystal structure
Cell: 6.189 6.189 6.189 Å, 147.37 147.37 46.82°
Atoms (fractional coordinates):
Mn: 0.000 0.000 0.000
Mn: 0.750 0.250 0.500
Si: 0.250 0.750 0.500
Si: 0.500 0.500 0.000
H: 0.069 0.625 0.944
H: 0.375 0.319 0.444
H: 0.681 0.125 0.056
H: 0.875 0.931 0.556



6.
For Pr3Zn3Hg, DFT lattice parameters and positions (GGA-PBE) gives the calculated powder diffraction line list in this record (Cu Kα (weighted mean of Kα1 and Kα2)).

Largest 8 diffraction maxima, low angle first, 2θ = 10–90°:
- 23.07°, I = 17
- 32.03°, I = 100
- 32.56°, I = 53
- 36.22°, I = 56
- 38.55°, I = 33
- 51.33°, I = 30
- 62.54°, I = 22
- 64.14°, I = 17

Crystal structure
Cell: 10.671 10.671 10.671 Å, 159.99 154.72 32.45°
Atoms (fractional coordinates):
Pr: 0.000 0.000 0.000
Pr: 0.386 0.386 0.000
Pr: 0.687 0.187 0.500
Zn: 0.122 0.622 0.500
Zn: 0.554 0.554 0.000
Zn: 0.835 0.835 0.000
Hg: 0.257 0.757 0.500



7.
For Ac2Pr7Dy4, DFT lattice parameters and positions (GGA-PBE) gives the calculated powder diffraction line list in this record (Cu Kα (weighted mean of Kα1 and Kα2)).

Largest 8 diffraction maxima, low angle first, 2θ = 10–90°:
- 26.63°, I = 24
- 27.98°, I = 23
- 28.78°, I = 30
- 31.06°, I = 100
- 31.24°, I = 20
- 34.57°, I = 28
- 49.50°, I = 27
- 49.87°, I = 17

Crystal structure
Cell: 6.378 6.378 13.391 Å, 90.00 90.00 120.00°
Atoms (fractional coordinates):
Ac: 0.333 0.667 0.000
Ac: 0.667 0.333 0.000
Pr: 0.000 0.000 0.000
Pr: 0.000 0.372 0.769
Pr: 0.000 0.628 0.231
Pr: 0.372 0.000 0.769
Pr: 0.372 0.372 0.231
Pr: 0.628 0.000 0.231
Pr: 0.628 0.628 0.769
Dy: 0.000 0.000 0.394
Dy: 0.000 0.000 0.606
Dy: 0.333 0.667 0.500
Dy: 0.667 0.333 0.500



8.
For HoZn2Cu10, DFT lattice parameters and positions (GGA-PBE) gives the calculated powder diffraction line list in this record (Cu Kα (weighted mean of Kα1 and Kα2)).

Largest 8 diffraction maxima, low angle first, 2θ = 10–90°:
- 36.55°, I = 66
- 42.04°, I = 68
- 42.34°, I = 80
- 42.70°, I = 100
- 42.82°, I = 70
- 47.72°, I = 24
- 48.16°, I = 29
- 77.69°, I = 28

Crystal structure
Cell: 8.540 6.578 6.447 Å, 81.94 49.69 48.37°
Atoms (fractional coordinates):
Ho: 0.000 0.000 0.000
Zn: 0.000 0.500 0.000
Zn: 0.500 0.000 0.500
Cu: 0.000 0.000 0.500
Cu: 0.005 0.645 0.355
Cu: 0.280 0.502 0.498
Cu: 0.355 0.995 0.005
Cu: 0.498 0.720 0.280
Cu: 0.500 0.500 0.000
Cu: 0.502 0.280 0.720
Cu: 0.645 0.005 0.995
Cu: 0.720 0.498 0.502
Cu: 0.995 0.355 0.645



9.
For Sr2AlSnAu6, DFT lattice parameters and positions (GGA-PBE) gives the calculated powder diffraction line list in this record (Cu Kα (weighted mean of Kα1 and Kα2)).

Largest 8 diffraction maxima, low angle first, 2θ = 10–90°:
- 19.36°, I = 45
- 27.92°, I = 66
- 31.68°, I = 44
- 35.60°, I = 71
- 35.92°, I = 100
- 38.71°, I = 46
- 40.49°, I = 56
- 41.13°, I = 63

Crystal structure
Cell: 6.040 8.912 9.169 Å, 90.00 90.00 90.00°
Atoms (fractional coordinates):
Sr: 0.250 0.002 0.232
Sr: 0.250 0.498 0.232
Sr: 0.750 0.502 0.768
Sr: 0.750 0.998 0.768
Al: 0.250 0.250 0.746
Al: 0.750 0.750 0.254
Sn: 0.250 0.750 0.783
Sn: 0.750 0.250 0.217
Au: 0.006 0.750 0.488
Au: 0.011 0.250 0.974
Au: 0.250 0.501 0.607
Au: 0.250 0.999 0.607
Au: 0.489 0.250 0.974
Au: 0.494 0.750 0.488
Au: 0.506 0.250 0.512
Au: 0.511 0.750 0.026
Au: 0.750 0.001 0.393
Au: 0.750 0.499 0.393
Au: 0.989 0.750 0.026
Au: 0.994 0.250 0.512